This entry pairs a crystal structure of Ca2AlTlF8 with its calculated powder XRD pattern. Radiation: Cu Ka. Structure: DFT lattice parameters and positions (GGA-PBE).
No peak broadening, texture or thermal motion is included.

Crystal structure
Lattice parameters (Å, degrees): 5.037 5.087 7.367 89.46 89.14 88.10
Space group P-1 (No. 2)
Symmetry-distinct sites (fractional):
Ca 0.001 0.001 0.241 [2 per cell]
Al 0.500 0.500 0.000 [1 per cell]
Tl 0.500 0.500 0.500 [1 per cell]
F 0.216 0.103 0.497 [2 per cell]
F 0.249 0.226 0.999 [2 per cell]
F 0.299 0.668 0.174 [2 per cell]
F 0.306 0.677 0.828 [2 per cell]

Peak list (12 most intense, 10 to 80 degrees two-theta, low angle first)
index	2θ (°)	d [Å]	I_rel
0 0 1	12.0	7.366	65.6
0 1 0	17.4	5.084	36.2
1 0 0	17.6	5.034	45.9
1 0 1	21.2	4.192	48.2
1 1 0	24.5	3.638	100.0
1 -1 0	25.3	3.520	87.6
1 -1 1	28.1	3.176	41.6
1 0 2	29.8	2.994	76.9
0 1 -2	30.1	2.970	32.8
1 0 -2	30.3	2.952	43.0
-1 1 2	35.3	2.541	39.5
2 -1 2	47.5	1.913	46.5